Theoretical powder diffraction line list of Rb2NaZnH5 for λ = 1.5418 Å (Cu Kα), from a DFT-relaxed cell (PBE, Alexandria).
Intensities are scaled so that the largest is 100.

Cell lengths 7.708, 7.708, 7.708 Å; angles 117.93, 117.93, 93.62 degrees
Fractional positions:
Rb (0.184, 0.684, 0.868)
Rb (0.316, 0.184, 0.500)
Rb (0.684, 0.816, 0.500)
Rb (0.816, 0.316, 0.132)
Na (0.250, 0.250, 0.000)
Na (0.750, 0.750, 0.000)
Zn (0.250, 0.750, 0.500)
Zn (0.750, 0.250, 0.500)
H (0.000, 0.000, 0.000)
H (0.040, 0.783, 0.500)
H (0.217, 0.717, 0.257)
H (0.283, 0.540, 0.500)
H (0.460, 0.960, 0.743)
H (0.500, 0.500, 0.000)
H (0.540, 0.040, 0.257)
H (0.717, 0.460, 0.500)
H (0.783, 0.283, 0.743)
H (0.960, 0.217, 0.500)

Main lines, by angle (10° ≤ 2θ ≤ 90°):
2θ 15.8, rel. 26; 2θ 26.5, rel. 68; 2θ 28.1, rel. 100; 2θ 31.8, rel. 25; 2θ 34.0, rel. 24; 2θ 35.9, rel. 34; 2θ 39.7, rel. 22; 2θ 47.3, rel. 16; 2θ 48.0, rel. 25; 2θ 54.3, rel. 17

***

Theoretical powder diffraction line list of PmCuTeRh for λ = 1.5418 Å (Cu Kα), from a DFT-relaxed cell (PBE, Alexandria).
Intensities are scaled so that the largest is 100.

Cell lengths 4.831, 4.831, 4.831 Å; angles 60.00, 60.00, 60.00 degrees
Fractional positions:
Pm (0.000, 0.000, 0.000)
Cu (0.250, 0.250, 0.250)
Te (0.500, 0.500, 0.500)
Rh (0.750, 0.750, 0.750)

Main lines, by angle (10° ≤ 2θ ≤ 90°):
2θ 22.5, rel. 2; 2θ 26.1, rel. 6; 2θ 37.2, rel. 100; 2θ 44.0, rel. 1; 2θ 46.0, rel. 2; 2θ 53.7, rel. 17; 2θ 60.6, rel. 2; 2θ 67.1, rel. 34; 2θ 79.3, rel. 11; 2θ 85.2, rel. 1

***

Theoretical powder diffraction line list of Ca2Nd4Y for λ = 1.5418 Å (Cu Kα), from a DFT-relaxed cell (PBE, Alexandria).
Intensities are scaled so that the largest is 100.

Cell lengths 12.451, 12.451, 12.451 Å; angles 163.40, 152.42, 32.36 degrees
Fractional positions:
Ca (0.221, 0.221, 0.000)
Ca (0.779, 0.779, 0.000)
Nd (0.080, 0.580, 0.500)
Nd (0.370, 0.870, 0.500)
Nd (0.630, 0.130, 0.500)
Nd (0.920, 0.420, 0.500)
Y (0.500, 0.500, 0.000)

Main lines, by angle (10° ≤ 2θ ≤ 90°):
2θ 14.8, rel. 23; 2θ 27.2, rel. 24; 2θ 29.0, rel. 23; 2θ 30.2, rel. 100; 2θ 32.7, rel. 69; 2θ 41.0, rel. 16; 2θ 49.0, rel. 15; 2θ 55.2, rel. 15; 2θ 58.6, rel. 17; 2θ 60.2, rel. 27